1.
This entry pairs a crystal structure of Si2TeMo with its calculated PXRD pattern. Radiation: Cu Kα X-rays. Structure: a cell relaxed with PBE.

Structural model:
a = 6.5087 Å, b = 6.5087 Å, c = 6.5087 Å
α = 90.00°, β = 90.00°, γ = 90.00°
Space group F-43m (No. 216)
Inequivalent atoms, fractional coordinates:
Si (0.0000, 0.0000, 0.0000) [4 per cell]
Si (0.2500, 0.2500, 0.2500) [4 per cell]
Te (0.0000, 0.0000, 0.5000) [4 per cell]
Mo (0.2500, 0.2500, 0.7500) [4 per cell]

Most intense lines, 2θ from 10° to 90°, in order of rising 2θ:
Position (°2θ)  I/Imax  h k l
23.7  44  1 1 1
39.1  100  2 2 0
46.3  22  3 1 1
56.6  17  4 0 0
62.2  9  3 3 1
70.9  34  4 2 2
84.1  11  4 4 0
89.0  7  5 3 1

=====

2.
This entry pairs a crystal structure of TlCuSeS with its calculated PXRD pattern. Radiation: Cu Kα X-rays. Structure: a cell relaxed with PBE.

Structural model:
a = 8.2091 Å, b = 8.2144 Å, c = 7.1159 Å
α = 90.00°, β = 124.93°, γ = 90.00°
Space group Cc (No. 9)
Inequivalent atoms, fractional coordinates:
Tl (0.0000, 0.1304, 0.0000) [4 per cell]
Cu (0.4822, 0.1123, 0.0000) [4 per cell]
Se (0.3425, 0.3513, 0.7497) [4 per cell]
S (0.3906, 0.1010, 0.2505) [4 per cell]

Most intense lines, 2θ from 10° to 90°, in order of rising 2θ:
Position (°2θ)  I/Imax  h k l
17.0  26  1 1 0
26.5  100  0 2 1
26.6  39  2 0 -2
27.6  21  1 1 1
35.4  24  1 3 0
43.9  29  2 2 1
44.1  55  2 2 -3
52.2  26  4 2 -1

=====

3.
This entry pairs a crystal structure of Rb2ZrAu2Se4 with its calculated PXRD pattern. Radiation: Cu Kα X-rays. Structure: a cell relaxed with PBE.

Structural model:
a = 6.2111 Å, b = 13.9759 Å, c = 6.1995 Å
α = 90.00°, β = 90.00°, γ = 90.00°
Space group C222 (No. 21)
Inequivalent atoms, fractional coordinates:
Rb (0.2500, 0.2500, 0.2404) [4 per cell]
Zr (0.0000, 0.0000, 0.5000) [2 per cell]
Au (0.0000, 0.0000, 0.0000) [2 per cell]
Au (0.0000, 0.5000, 0.5000) [2 per cell]
Se (0.2365, 0.1100, 0.7360) [8 per cell]

Most intense lines, 2θ from 10° to 90°, in order of rising 2θ:
Position (°2θ)  I/Imax  h k l
12.7  72  0 2 0
21.2  58  1 1 1
27.9  100  1 3 1
31.6  90  2 2 0
38.8  52  0 4 2
41.1  56  2 0 2
48.9  50  2 6 0
50.5  37  3 3 1

=====

4.
This entry pairs a crystal structure of Ta2Pd2Pb3 with its calculated PXRD pattern. Radiation: Cu Kα X-rays. Structure: a cell relaxed with PBE.

Structural model:
a = 4.6909 Å, b = 4.6909 Å, c = 24.4346 Å
α = 90.00°, β = 90.00°, γ = 120.00°
Space group R3m (No. 160, hexagonal axes)
Inequivalent atoms, fractional coordinates:
Ta (0.0000, 0.0000, 0.0000) [3 per cell]
Ta (0.0000, 0.0000, 0.4981) [3 per cell]
Pd (0.0000, 0.0000, 0.2478) [3 per cell]
Pd (0.0000, 0.0000, 0.7472) [3 per cell]
Pb (0.0000, 0.0000, 0.1239) [3 per cell]
Pb (0.0000, 0.0000, 0.3631) [3 per cell]
Pb (0.0000, 0.0000, 0.8863) [3 per cell]

Most intense lines, 2θ from 10° to 90°, in order of rising 2θ:
Position (°2θ)  I/Imax  h k l
22.2  16  1 0 1
23.1  15  0 1 2
28.6  18  0 1 5
36.8  99  0 1 8
38.4  100  1 1 0
54.2  33  2 0 8
68.4  33  1 2 8
69.4  23  3 0 0

=====

5.
This entry pairs a crystal structure of RbCuB with its calculated PXRD pattern. Radiation: Cu Kα X-rays. Structure: a cell relaxed with PBE.

Structural model:
a = 6.6047 Å, b = 6.6047 Å, c = 6.6047 Å
α = 90.00°, β = 90.00°, γ = 90.00°
Space group F-43m (No. 216)
Inequivalent atoms, fractional coordinates:
Rb (0.0000, 0.0000, 0.0000) [4 per cell]
Cu (0.0000, 0.0000, 0.5000) [4 per cell]
B (0.2500, 0.2500, 0.7500) [4 per cell]

Most intense lines, 2θ from 10° to 90°, in order of rising 2θ:
Position (°2θ)  I/Imax  h k l
27.0  100  2 0 0
38.6  95  2 2 0
47.7  28  2 2 2
55.7  15  4 0 0
62.9  35  4 2 0
69.8  30  4 2 2
82.6  9  4 4 0
88.9  17  6 0 0

=====

6.
This entry pairs a crystal structure of KFeSeS with its calculated PXRD pattern. Radiation: Cu Kα X-rays. Structure: a cell relaxed with PBE.

Structural model:
a = 7.1337 Å, b = 11.4842 Å, c = 5.4781 Å
α = 90.00°, β = 112.70°, γ = 90.00°
Space group Cc (No. 9)
Inequivalent atoms, fractional coordinates:
K (0.0000, 0.1385, 0.0000) [4 per cell]
Fe (0.0135, 0.4984, 0.5137) [4 per cell]
Se (0.3129, 0.1174, 0.6617) [4 per cell]
S (0.1992, 0.3974, 0.8588) [4 per cell]

Most intense lines, 2θ from 10° to 90°, in order of rising 2θ:
Position (°2θ)  I/Imax  h k l
15.5  100  0 2 0
26.9  25  1 3 0
27.2  39  1 1 1
30.4  62  2 2 -1
35.2  22  1 3 1
40.5  28  1 3 -2
43.7  20  1 1 2
47.8  20  3 3 0

=====

7.
This entry pairs a crystal structure of NbICl4 with its calculated PXRD pattern. Radiation: Cu Kα X-rays. Structure: a cell relaxed with PBE.

Structural model:
a = 6.6386 Å, b = 7.1633 Å, c = 9.5625 Å
α = 109.19°, β = 90.55°, γ = 113.51°
Space group P-1 (No. 2)
Inequivalent atoms, fractional coordinates:
Nb (0.0976, 0.2111, 0.2141) [2 per cell]
I (0.4530, 0.5874, 0.3289) [2 per cell]
Cl (0.0691, 0.8188, 0.5799) [2 per cell]
Cl (0.1194, 0.6356, 0.8541) [2 per cell]
Cl (0.2152, 0.1615, 0.9542) [2 per cell]
Cl (0.2882, 0.0076, 0.2393) [2 per cell]

Most intense lines, 2θ from 10° to 90°, in order of rising 2θ:
Position (°2θ)  I/Imax  h k l
14.3  43  0 1 -1
15.7  56  1 -1 0
16.4  55  1 0 -1
17.0  31  1 -1 1
19.9  51  0 0 2
20.1  30  -1 1 1
29.6  50  1 1 1
31.4  100  1 0 -3

=====

8.
This entry pairs a crystal structure of Sm4Hg5Ir2 with its calculated PXRD pattern. Radiation: Cu Kα X-rays. Structure: a cell relaxed with PBE.

Structural model:
a = 7.7399 Å, b = 3.7169 Å, c = 9.6509 Å
α = 90.00°, β = 94.89°, γ = 90.00°
Space group P2/m (No. 10)
Inequivalent atoms, fractional coordinates:
Sm (0.1809, 0.0000, 0.3501) [2 per cell]
Sm (0.2188, 0.0000, 0.9395) [2 per cell]
Hg (0.1695, 0.5000, 0.6441) [2 per cell]
Hg (0.4576, 0.5000, 0.1698) [2 per cell]
Hg (0.5000, 0.5000, 0.5000) [1 per cell]
Ir (0.0773, 0.5000, 0.1398) [2 per cell]

Most intense lines, 2θ from 10° to 90°, in order of rising 2θ:
Position (°2θ)  I/Imax  h k l
23.9  48  0 1 0
32.0  72  1 1 -2
33.2  98  1 1 2
33.5  72  2 1 0
34.9  100  3 0 0
35.4  58  3 0 -1
37.0  52  0 1 3
37.5  66  2 1 -2

=====

9.
This entry pairs a crystal structure of TcCl2 with its calculated PXRD pattern. Radiation: Cu Kα X-rays. Structure: a cell relaxed with PBE.

Structural model:
a = 5.5272 Å, b = 5.5272 Å, c = 3.7379 Å
α = 90.00°, β = 90.00°, γ = 90.00°
Space group P4_2/mnm (No. 136)
Inequivalent atoms, fractional coordinates:
Tc (0.0000, 0.0000, 0.0000) [2 per cell]
Cl (0.1955, 0.1955, 0.5000) [4 per cell]

Most intense lines, 2θ from 10° to 90°, in order of rising 2θ:
Position (°2θ)  I/Imax  h k l
22.8  100  1 1 0
28.8  53  1 0 1
33.2  26  1 1 1
43.9  80  2 1 1
46.5  24  2 2 0
48.7  15  0 0 2
54.4  17  1 1 2
55.6  34  3 0 1

=====

10.
This entry pairs a crystal structure of Zr with its calculated PXRD pattern. Radiation: Cu Kα X-rays. Structure: a cell relaxed with PBE.

Structural model:
a = 5.2282 Å, b = 10.9152 Å, c = 3.2527 Å
α = 90.00°, β = 90.00°, γ = 90.00°
Space group Cmce (No. 64)
Inequivalent atoms, fractional coordinates:
Zr (0.0000, 0.1345, 0.0014) [8 per cell]

Most intense lines, 2θ from 10° to 90°, in order of rising 2θ:
Position (°2θ)  I/Imax  h k l
32.8  57  0 4 0
33.5  100  1 1 1
34.3  53  2 0 0
41.0  86  1 3 1
48.2  37  2 4 0
66.0  20  3 3 1
69.2  22  1 7 1
77.5  18  2 4 2

=====

11.
This entry pairs a crystal structure of Tb2CdO4 with its calculated PXRD pattern. Radiation: Cu Kα X-rays. Structure: a cell relaxed with PBE.

Structural model:
a = 9.5767 Å, b = 9.5767 Å, c = 9.5767 Å
α = 90.00°, β = 90.00°, γ = 90.00°
Space group Fd-3m (No. 227, origin choice 2)
Inequivalent atoms, fractional coordinates:
Tb (0.0000, 0.0000, 0.0000) [16 per cell]
Cd (0.1250, 0.1250, 0.6250) [8 per cell]
O (0.0117, 0.0117, 0.2383) [32 per cell]

Most intense lines, 2θ from 10° to 90°, in order of rising 2θ:
Position (°2θ)  I/Imax  h k l
16.0  20  1 1 1
26.3  19  2 2 0
31.0  100  3 1 1
32.4  33  2 2 2
37.6  18  4 0 0
49.5  39  5 1 1
54.2  43  4 4 0
76.4  21  5 5 3

=====

12.
This entry pairs a crystal structure of ErZrTeC with its calculated PXRD pattern. Radiation: Cu Kα X-rays. Structure: a cell relaxed with PBE.

Structural model:
a = 3.6549 Å, b = 3.6549 Å, c = 13.7171 Å
α = 90.00°, β = 90.00°, γ = 120.00°
Space group P-3m1 (No. 164)
Inequivalent atoms, fractional coordinates:
Er (0.3333, 0.6667, 0.0945) [2 per cell]
Zr (0.3333, 0.6667, 0.4146) [2 per cell]
Te (0.3333, 0.6667, 0.7374) [2 per cell]
C (0.0000, 0.0000, 0.0000) [1 per cell]
C (0.0000, 0.0000, 0.5000) [1 per cell]

Most intense lines, 2θ from 10° to 90°, in order of rising 2θ:
Position (°2θ)  I/Imax  h k l
28.2  26  1 0 0
34.5  100  0 1 3
39.4  13  0 0 6
49.2  12  1 0 6
49.9  25  1 1 0
62.1  18  2 0 3
65.4  17  1 1 6
83.5  16  1 2 3